No. 1
This entry pairs a crystal structure of CoSnO3 with its simulated XRD peak list. Radiation: Cu Kα (weighted mean of Kα1 and Kα2). Structure: a crystal structure in the Materials Project, relaxed with PBE+U.
Intensities are scaled so that the largest is 100.

Peak list (10 most intense, 10 to 90 degrees two-theta, low angle first)
- d 3.743, rel. 7
- d 2.646, rel. 100
- d 2.161, rel. 16
- d 1.871, rel. 33
- d 1.674, rel. 5
- d 1.528, rel. 39
- d 1.323, rel. 20
- d 1.248, rel. 3
- d 1.184, rel. 17
- d 1.128, rel. 6

Cell and atoms:
a = 3.743 Å, b = 3.743 Å, c = 3.743 Å
α = 90.00°, β = 90.00°, γ = 90.00°
Atoms (fractional coordinates):
Co1 0.000 0.000 0.000
Sn1 0.500 0.500 0.500
O1 0.000 0.000 0.500
O2 0.000 0.500 0.000
O3 0.500 0.000 0.000


No. 2
This entry pairs a crystal structure of Co2SnO4 with its simulated XRD peak list. Radiation: Cu Kα (weighted mean of Kα1 and Kα2). Structure: a crystal structure in the Materials Project, relaxed with PBE+U.
Intensities are scaled so that the largest is 100.

Peak list (12 most intense, 10 to 90 degrees two-theta, low angle first)
- d 5.003, rel. 69
- d 3.101, rel. 23
- d 3.044, rel. 20
- d 2.667, rel. 100
- d 2.639, rel. 54
- d 2.617, rel. 41
- d 2.561, rel. 28
- d 2.502, rel. 19
- d 2.196, rel. 19
- d 2.190, rel. 37
- d 1.675, rel. 29
- d 1.551, rel. 61

Cell and atoms:
a = 6.204 Å, b = 6.204 Å, c = 6.204 Å
α = 121.24°, β = 118.92°, γ = 89.87°
Atoms (fractional coordinates):
Co1 0.000 0.000 0.500
Co2 0.000 0.500 0.000
Co3 0.388 0.138 0.250
Co4 0.612 0.862 0.750
Sn1 0.000 0.500 0.500
Sn2 0.500 0.500 0.000
O1 0.217 0.735 0.482
O2 0.247 0.265 0.982
O3 0.248 0.265 0.517
O4 0.248 0.731 0.983
O5 0.752 0.269 0.017
O6 0.752 0.735 0.483
O7 0.753 0.735 0.018
O8 0.783 0.265 0.518


No. 3
This entry pairs a crystal structure of CoSnO3 with its simulated XRD peak list. Radiation: Cu Kα (weighted mean of Kα1 and Kα2). Structure: a crystal structure in the Materials Project, relaxed with PBE+U.
Intensities are scaled so that the largest is 100.

Peak list (12 most intense, 10 to 90 degrees two-theta, low angle first)
- d 3.825, rel. 15
- d 2.732, rel. 100
- d 2.711, rel. 24
- d 2.697, rel. 25
- d 1.953, rel. 13
- d 1.912, rel. 22
- d 1.585, rel. 12
- d 1.582, rel. 12
- d 1.569, rel. 26
- d 1.564, rel. 23
- d 1.366, rel. 13
- d 1.212, rel. 12

Cell and atoms:
a = 5.395 Å, b = 7.811 Å, c = 5.423 Å
α = 90.00°, β = 90.00°, γ = 90.00°
Atoms (fractional coordinates):
Co1 0.027 0.250 0.013
Co2 0.473 0.750 0.513
Co3 0.527 0.250 0.487
Co4 0.973 0.750 0.987
Sn1 0.000 0.000 0.500
Sn2 0.000 0.500 0.500
Sn3 0.500 0.000 0.000
Sn4 0.500 0.500 0.000
O1 0.094 0.750 0.625
O2 0.168 0.567 0.165
O3 0.168 0.933 0.165
O4 0.332 0.067 0.665
O5 0.332 0.433 0.665
O6 0.406 0.250 0.125
O7 0.594 0.750 0.875
O8 0.668 0.567 0.335
O9 0.668 0.933 0.335
O10 0.832 0.067 0.835
O11 0.832 0.433 0.835
O12 0.906 0.250 0.375